The following is a calculated X-ray diffraction stick pattern of Mg8Mn3N8. It was derived from a structure optimized by DFT (PBE), using Cu Kα X-rays.

Structure:
Lattice parameters (Å, degrees): 8.5089 8.5089 6.6246 104.19 104.19 29.81
Atoms (fractional coordinates):
1 Mg 0.0268 0.0268 0.2394
2 Mg 0.1927 0.1927 0.7926
3 Mg 0.3364 0.3364 0.5305
4 Mg 0.4037 0.4037 0.0397
5 Mg 0.5963 0.5963 0.9603
6 Mg 0.6636 0.6636 0.4695
7 Mg 0.8073 0.8073 0.2074
8 Mg 0.9732 0.9732 0.7606
9 Mn 0.1882 0.1882 0.2079
10 Mn 0.5000 0.5000 0.5000
11 Mn 0.8118 0.8118 0.7921
12 N 0.0984 0.0984 0.9823
13 N 0.1682 0.1682 0.4542
14 N 0.2932 0.2932 0.1878
15 N 0.4718 0.4718 0.7379
16 N 0.5282 0.5282 0.2621
17 N 0.7068 0.7068 0.8122
18 N 0.8318 0.8318 0.5458
19 N 0.9016 0.9016 0.0177

Main lines, by intensity (2θ = 15–90°):
41.25°, I = 1000
24.46°, I = 927
36.33°, I = 614
26.41°, I = 576
34.83°, I = 365
33.81°, I = 359
40.19°, I = 319
39.96°, I = 312
47.40°, I = 282
64.59°, I = 274
19.88°, I = 237
54.37°, I = 195


The following is a calculated X-ray diffraction stick pattern of LaSm4Dy10. It was derived from a structure optimized by DFT (PBE), using Cu Kα X-rays.

Structure:
Lattice parameters (Å, degrees): 9.6762 9.6762 9.6762 96.62 96.62 140.31
Atoms (fractional coordinates):
1 La 0.0000 0.0000 0.0000
2 Sm 0.3259 0.5674 0.8933
3 Sm 0.4326 0.3259 0.7586
4 Sm 0.5674 0.6741 0.2414
5 Sm 0.6741 0.4326 0.1067
6 Dy 0.0441 0.8803 0.4238
7 Dy 0.1197 0.5436 0.1638
8 Dy 0.2500 0.7500 0.5000
9 Dy 0.3798 0.9559 0.8362
10 Dy 0.4564 0.6202 0.5762
11 Dy 0.5436 0.3798 0.4238
12 Dy 0.6202 0.0441 0.1638
13 Dy 0.7500 0.2500 0.5000
14 Dy 0.8803 0.4564 0.8362
15 Dy 0.9559 0.1197 0.5762

Main lines, by intensity (2θ = 15–90°):
31.07°, I = 1000
35.10°, I = 797
28.90°, I = 588
35.56°, I = 371
29.44°, I = 368
45.31°, I = 342
28.45°, I = 299
52.92°, I = 283
41.72°, I = 279
40.47°, I = 270
44.52°, I = 256
21.84°, I = 253


The following is a calculated X-ray diffraction stick pattern of Sm6ErTh2. It was derived from a structure optimized by DFT (PBE), using Cu Kα X-rays.

Structure:
Lattice parameters (Å, degrees): 3.5978 3.5978 26.7717 90.00 90.00 120.00
Atoms (fractional coordinates):
1 Sm 0.0000 0.0000 0.0636
2 Sm 0.0000 0.0000 0.2814
3 Sm 0.0000 0.0000 0.7186
4 Sm 0.0000 0.0000 0.9364
5 Sm 0.3333 0.6667 0.3934
6 Sm 0.3333 0.6667 0.6066
7 Er 0.0000 0.0000 0.5000
8 Th 0.3333 0.6667 0.1712
9 Th 0.3333 0.6667 0.8288

Main lines, by intensity (2θ = 15–90°):
33.27°, I = 1000
31.68°, I = 614
30.04°, I = 495
28.65°, I = 456
60.11°, I = 422
50.75°, I = 380
56.46°, I = 322
41.99°, I = 302
30.39°, I = 202
62.04°, I = 168
84.18°, I = 146
84.53°, I = 127


The following is a calculated X-ray diffraction stick pattern of HoPuPtAu. It was derived from a structure optimized by DFT (PBE), using Cu Kα X-rays.

Structure:
Lattice parameters (Å, degrees): 3.5002 3.5002 7.3266 90.00 90.00 90.00
Atoms (fractional coordinates):
1 Ho 0.0000 0.0000 0.0000
2 Pu 0.0000 0.0000 0.5255
3 Pt 0.5000 0.5000 0.7785
4 Au 0.5000 0.5000 0.2440

Main lines, by intensity (2θ = 15–90°):
35.47°, I = 1000
36.30°, I = 488
64.77°, I = 357
52.27°, I = 175
63.15°, I = 172
75.07°, I = 105
49.78°, I = 87
88.29°, I = 84
87.81°, I = 82
83.93°, I = 68
77.06°, I = 57
28.26°, I = 42


The following is a calculated X-ray diffraction stick pattern of Li2Sb3. It was derived from a structure optimized by DFT (PBE), using Cu Kα X-rays.

Structure:
Lattice parameters (Å, degrees): 10.8167 10.8167 10.8167 19.27 19.27 19.27
Atoms (fractional coordinates):
1 Li 0.1030 0.1030 0.1030
2 Li 0.8970 0.8970 0.8970
3 Sb 0.3003 0.3003 0.3003
4 Sb 0.5000 0.5000 0.5000
5 Sb 0.6997 0.6997 0.6997

Main lines, by intensity (2θ = 15–90°):
31.80°, I = 1000
40.37°, I = 518
16.71°, I = 420
28.60°, I = 335
30.64°, I = 272
50.39°, I = 270
42.55°, I = 268
68.05°, I = 244
60.83°, I = 151
25.17°, I = 145
82.83°, I = 126
65.79°, I = 119


The following is a calculated X-ray diffraction stick pattern of La3Pm2Tm. It was derived from a structure optimized by DFT (PBE), using Cu Kα X-rays.

Structure:
Lattice parameters (Å, degrees): 6.3781 6.3781 11.9451 90.00 90.00 120.00
Atoms (fractional coordinates):
1 La 0.0000 0.3306 0.2500
2 La 0.0000 0.6694 0.7500
3 La 0.3306 0.0000 0.2500
4 La 0.3306 0.3306 0.7500
5 La 0.6694 0.0000 0.7500
6 La 0.6694 0.6694 0.2500
7 Pm 0.3333 0.6667 0.0000
8 Pm 0.3333 0.6667 0.5000
9 Pm 0.6667 0.3333 0.0000
10 Pm 0.6667 0.3333 0.5000
11 Tm 0.0000 0.0000 0.0000
12 Tm 0.0000 0.0000 0.5000

Main lines, by intensity (2θ = 15–90°):
31.81°, I = 1000
28.98°, I = 362
29.92°, I = 335
58.93°, I = 294
49.51°, I = 248
54.32°, I = 221
36.08°, I = 202
60.05°, I = 163
81.46°, I = 137
83.33°, I = 110
27.98°, I = 103
47.56°, I = 92